Starting from DFT lattice parameters and positions (GGA+U), the powder diffractogram of Li4V2P4H3O16 was computed for Cu Kα (λ = 1.5418 Å).
Kinematic intensities with the Lorentz-polarization factor, no thermal factor.

Atomic structure:
```
data_Li4V2P4H3O16
_chemical_formula_sum 'Li4 V2 P4 H3 O16'
_space_group_name_H-M_alt 'P 1'
_space_group_IT_number 1
_cell_length_a 4.953
_cell_length_b 7.617
_cell_length_c 8.376
_cell_angle_alpha 90.11
_cell_angle_beta 91.01
_cell_angle_gamma 103.97
loop_
_space_group_symop_operation_xyz
'x,y,z'
loop_
_atom_site_label
_atom_site_type_symbol
_atom_site_fract_x
_atom_site_fract_y
_atom_site_fract_z
Li1 Li 0.000 0.000 0.000
Li2 Li 0.179 0.375 0.296
Li3 Li 0.437 0.526 0.791
Li4 Li 0.683 0.850 0.505
V1 V 0.064 0.189 0.645
V2 V 0.564 0.695 0.146
P1 P 0.195 0.958 0.310
P2 P 0.446 0.928 0.789
P3 P 0.689 0.454 0.501
P4 P 0.929 0.423 0.986
H1 H 0.025 0.671 0.642
H2 H 0.510 0.192 0.199
H3 H 0.679 0.125 0.014
O1 O 0.042 0.369 0.827
O2 O 0.074 0.002 0.469
O3 O 0.160 0.514 0.102
O4 O 0.222 0.042 0.808
O5 O 0.310 0.154 0.227
O6 O 0.315 0.739 0.721
O7 O 0.432 0.863 0.329
O8 O 0.452 0.356 0.609
O9 O 0.576 0.504 0.341
O10 O 0.576 0.917 0.959
O11 O 0.679 0.027 0.677
O12 O 0.707 0.530 0.962
O13 O 0.792 0.234 0.077
O14 O 0.828 0.640 0.590
O15 O 0.914 0.344 0.481
O16 O 0.969 0.861 0.193
```

The 6 most intense peaks (15° ≤ 2θ ≤ 90°), most intense first:
2θ/deg, Rel. int.
24.4, 100
28.7, 47
28.8, 36
15.9, 28
28.0, 27
32.2, 26